Simulated XRD peak list
Compound: K6Hg23Au
Radiation: Cu Kα, 1.54184 Å
Structure: DFT lattice parameters and positions (PBE)
Neutral-atom scattering factors, no anomalous dispersion.

Crystal structure
Cell lengths 10.834, 10.834, 10.834 Å; angles 60.00, 60.00, 60.00 degrees
Sites, in units of the cell vectors:
1 K 0.218 0.218 0.782
2 K 0.218 0.782 0.218
3 K 0.218 0.782 0.782
4 K 0.782 0.218 0.218
5 K 0.782 0.218 0.782
6 K 0.782 0.782 0.218
7 Hg 0.000 0.000 0.500
8 Hg 0.000 0.500 0.000
9 Hg 0.000 0.500 0.500
10 Hg 0.144 0.619 0.619
11 Hg 0.167 0.167 0.167
12 Hg 0.167 0.167 0.498
13 Hg 0.167 0.498 0.167
14 Hg 0.381 0.381 0.381
15 Hg 0.381 0.381 0.856
16 Hg 0.381 0.856 0.381
17 Hg 0.498 0.167 0.167
18 Hg 0.500 0.000 0.000
19 Hg 0.500 0.000 0.500
20 Hg 0.500 0.500 0.000
21 Hg 0.500 0.500 0.500
22 Hg 0.502 0.833 0.833
23 Hg 0.619 0.144 0.619
24 Hg 0.619 0.619 0.144
25 Hg 0.619 0.619 0.619
26 Hg 0.833 0.502 0.833
27 Hg 0.833 0.833 0.502
28 Hg 0.833 0.833 0.833
29 Hg 0.856 0.381 0.381
30 Au 0.000 0.000 0.000

Principal peaks in the range 10 to 90 degrees two-theta, most intense first:
2θ/deg	I/Imax
33.1	100
39.0	31
30.3	30
59.1	25
34.6	24
20.1	21
38.5	16
11.6	14
57.4	14
60.1	13
63.1	11
73.1	11